(1)
Theoretical powder X-ray diffraction pattern
Compound: RbLiErCl5
Radiation: Cu Kα (λ = 1.5418 Å)
Structure: a DFT-relaxed cell (PBE, Alexandria)
No peak broadening, texture or thermal motion is included.

Atomic structure:
```
data_RbLiErCl5
_space_group_name_H-M_alt 'C 1 2/c 1'
_space_group_IT_number 15
_cell_length_a 8.992
_cell_length_b 12.137
_cell_length_c 10.018
_cell_angle_alpha 90.00
_cell_angle_beta 113.73
_cell_angle_gamma 90.00
loop_
_space_group_symop_operation_xyz
'x,y,z'
'-x,-y,-z'
'-x,y,-z+1/2'
'x,-y,z+1/2'
'x+1/2,y+1/2,z'
'-x+1/2,-y+1/2,-z'
'-x+1/2,y+1/2,-z+1/2'
'x+1/2,-y+1/2,z+1/2'
loop_
_atom_site_label
_atom_site_fract_x
_atom_site_fract_y
_atom_site_fract_z
Rb1 0.000 0.159 0.250
Li1 0.000 0.190 0.750
Er1 0.000 0.500 0.000
Cl1 0.000 0.430 0.250
Cl2 0.098 0.302 0.602
Cl3 0.198 0.064 0.918
```

Top 10 peaks for 10 to 90 degrees two-theta, low angle first:
- 2θ = 12.99°, d 6.813, intensity 84
- 2θ = 14.60°, d 6.068, intensity 29
- 2θ = 19.40°, d 4.576, intensity 100
- 2θ = 21.59°, d 4.116, intensity 41
- 2θ = 24.33°, d 3.659, intensity 33
- 2θ = 24.52°, d 3.631, intensity 38
- 2θ = 30.91°, d 2.893, intensity 24
- 2θ = 39.69°, d 2.271, intensity 22
- 2θ = 42.74°, d 2.116, intensity 19
- 2θ = 45.91°, d 1.977, intensity 20

---

(2)
Theoretical powder X-ray diffraction pattern
Compound: CuMoPt4
Radiation: Cu Kα (λ = 1.5418 Å)
Structure: a DFT-relaxed cell (PBE, Alexandria)
No peak broadening, texture or thermal motion is included.

Atomic structure:
```
data_CuMoPt4
_space_group_name_H-M_alt 'C 1 2/m 1'
_space_group_IT_number 12
_cell_length_a 9.292
_cell_length_b 2.759
_cell_length_c 7.798
_cell_angle_alpha 90.00
_cell_angle_beta 114.75
_cell_angle_gamma 90.00
loop_
_space_group_symop_operation_xyz
'x,y,z'
'-x,-y,-z'
'-x,y,-z'
'x,-y,z'
'x+1/2,y+1/2,z'
'-x+1/2,-y+1/2,-z'
'-x+1/2,y+1/2,-z'
'x+1/2,-y+1/2,z'
loop_
_atom_site_label
_atom_site_fract_x
_atom_site_fract_y
_atom_site_fract_z
Cu1 0.000 0.000 0.000
Mo1 0.000 0.000 0.500
Pt1 0.161 0.500 0.834
Pt2 0.166 0.500 0.331
```

Top 10 peaks for 10 to 90 degrees two-theta, low angle first:
- 2θ = 25.16°, d 3.539, intensity 19
- 2θ = 39.50°, d 2.281, intensity 100
- 2θ = 40.03°, d 2.252, intensity 97
- 2θ = 46.08°, d 1.970, intensity 65
- 2θ = 46.59°, d 1.949, intensity 31
- 2θ = 67.61°, d 1.386, intensity 41
- 2θ = 80.51°, d 1.193, intensity 25
- 2θ = 81.55°, d 1.180, intensity 31
- 2θ = 81.94°, d 1.176, intensity 12
- 2θ = 86.41°, d 1.126, intensity 11

---

(3)
Theoretical powder X-ray diffraction pattern
Compound: Ge3Pt
Radiation: Cu Kα (λ = 1.5418 Å)
Structure: a DFT-relaxed cell (PBE, Alexandria)
No peak broadening, texture or thermal motion is included.

Atomic structure:
```
data_Ge3Pt
_space_group_name_H-M_alt 'P 63/m m c'
_space_group_IT_number 194
_space_group_name_Hall '-P 6c 2c'
_cell_length_a 7.8111
_cell_length_b 7.8111
_cell_length_c 2.9951
_cell_angle_alpha 90.00
_cell_angle_beta 90.00
_cell_angle_gamma 120.00
loop_
_atom_site_label
_atom_site_fract_x
_atom_site_fract_y
_atom_site_fract_z
Ge1 0.1764 0.3528 0.2500
Pt1 0.3333 0.6667 0.7500
```

Top 10 peaks for 10 to 90 degrees two-theta, low angle first:
- 2θ = 13.09°, d 6.765, intensity 32
- 2θ = 22.77°, d 3.906, intensity 23
- 2θ = 26.35°, d 3.382, intensity 51
- 2θ = 32.70°, d 2.739, intensity 11
- 2θ = 40.22°, d 2.242, intensity 100
- 2θ = 46.50°, d 1.953, intensity 43
- 2θ = 46.71°, d 1.945, intensity 15
- 2θ = 63.14°, d 1.473, intensity 25
- 2θ = 80.89°, d 1.188, intensity 17
- 2θ = 81.94°, d 1.176, intensity 23

---

(4)
Theoretical powder X-ray diffraction pattern
Compound: CdS5
Radiation: Cu Kα (λ = 1.5418 Å)
Structure: a DFT-relaxed cell (PBE, Alexandria)
No peak broadening, texture or thermal motion is included.

Atomic structure:
```
data_CdS5
_space_group_name_H-M_alt 'P -1'
_space_group_IT_number 2
_cell_length_a 4.511
_cell_length_b 5.591
_cell_length_c 12.211
_cell_angle_alpha 96.59
_cell_angle_beta 91.21
_cell_angle_gamma 93.29
loop_
_space_group_symop_operation_xyz
'x,y,z'
'-x,-y,-z'
loop_
_atom_site_label
_atom_site_fract_x
_atom_site_fract_y
_atom_site_fract_z
Cd1 0.138 0.237 0.249
S1 0.059 0.816 0.978
S2 0.079 0.723 0.235
S3 0.201 0.315 0.901
S4 0.366 0.748 0.642
S5 0.391 0.067 0.573
```

Top 10 peaks for 10 to 90 degrees two-theta, low angle first:
- 2θ = 14.61°, d 6.063, intensity 97
- 2θ = 18.35°, d 4.834, intensity 92
- 2θ = 19.72°, d 4.502, intensity 59
- 2θ = 20.86°, d 4.259, intensity 100
- 2θ = 29.28°, d 3.050, intensity 66
- 2θ = 30.13°, d 2.967, intensity 64
- 2θ = 32.29°, d 2.772, intensity 72
- 2θ = 33.97°, d 2.639, intensity 64
- 2θ = 36.18°, d 2.482, intensity 37
- 2θ = 38.46°, d 2.341, intensity 35

---

(5)
Theoretical powder X-ray diffraction pattern
Compound: NdZr9O20
Radiation: Cu Kα (λ = 1.5418 Å)
Structure: a DFT-relaxed cell (PBE, Alexandria)
No peak broadening, texture or thermal motion is included.

Atomic structure:
```
data_NdZr9O20
_space_group_name_H-M_alt 'P -1'
_space_group_IT_number 2
_cell_length_a 6.369
_cell_length_b 7.353
_cell_length_c 8.221
_cell_angle_alpha 102.99
_cell_angle_beta 97.40
_cell_angle_gamma 106.77
loop_
_space_group_symop_operation_xyz
'x,y,z'
'-x,-y,-z'
loop_
_atom_site_label
_atom_site_fract_x
_atom_site_fract_y
_atom_site_fract_z
Nd1 0.000 0.000 0.000
Zr1 0.000 0.500 0.000
Zr2 0.201 0.402 0.402
Zr3 0.203 0.900 0.401
Zr4 0.398 0.301 0.799
Zr5 0.399 0.799 0.800
O1 0.048 0.238 0.841
O2 0.052 0.707 0.839
O3 0.145 0.172 0.546
O4 0.150 0.674 0.544
O5 0.262 0.626 0.249
O6 0.269 0.135 0.264
O7 0.355 0.575 0.951
O8 0.369 0.080 0.944
O9 0.443 0.520 0.647
O10 0.444 0.025 0.646
```

Top 10 peaks for 10 to 90 degrees two-theta, low angle first:
- 2θ = 29.76°, d 3.002, intensity 100
- 2θ = 34.50°, d 2.600, intensity 22
- 2θ = 49.59°, d 1.838, intensity 59
- 2θ = 58.92°, d 1.568, intensity 41
- 2θ = 61.81°, d 1.501, intensity 6
- 2θ = 72.76°, d 1.300, intensity 8
- 2θ = 80.52°, d 1.193, intensity 15
- 2θ = 80.60°, d 1.192, intensity 1
- 2θ = 83.05°, d 1.163, intensity 3
- 2θ = 83.09°, d 1.162, intensity 6

---

(6)
Theoretical powder X-ray diffraction pattern
Compound: Rb2Ga5Ge3
Radiation: Cu Kα (λ = 1.5418 Å)
Structure: a DFT-relaxed cell (PBE, Alexandria)
No peak broadening, texture or thermal motion is included.

Atomic structure:
```
data_Rb2Ga5Ge3
_space_group_name_H-M_alt 'P -4 m 2'
_space_group_IT_number 115
_cell_length_a 4.710
_cell_length_b 4.710
_cell_length_c 10.826
_cell_angle_alpha 90.00
_cell_angle_beta 90.00
_cell_angle_gamma 90.00
loop_
_space_group_symop_operation_xyz
'x,y,z'
'y,-x,-z'
'-x,-y,z'
'-y,x,-z'
'-x,y,z'
'-y,-x,-z'
'x,-y,z'
'y,x,-z'
loop_
_atom_site_label
_atom_site_fract_x
_atom_site_fract_y
_atom_site_fract_z
Rb1 0.000 0.500 0.247
Ga1 0.000 0.000 0.500
Ga2 0.000 0.500 0.628
Ga3 0.500 0.500 0.000
Ga4 0.500 0.500 0.500
Ge1 0.000 0.000 0.000
Ge2 0.000 0.500 0.877
```

Top 10 peaks for 10 to 90 degrees two-theta, low angle first:
- 2θ = 31.22°, d 2.865, intensity 67
- 2θ = 31.54°, d 2.837, intensity 100
- 2θ = 38.21°, d 2.355, intensity 78
- 2θ = 43.06°, d 2.101, intensity 34
- 2θ = 46.14°, d 1.967, intensity 23
- 2θ = 50.14°, d 1.819, intensity 35
- 2θ = 55.15°, d 1.665, intensity 26
- 2θ = 58.15°, d 1.587, intensity 16
- 2θ = 61.41°, d 1.510, intensity 19
- 2θ = 64.93°, d 1.436, intensity 24

---

(7)
Theoretical powder X-ray diffraction pattern
Compound: LiSnPt6
Radiation: Cu Kα (λ = 1.5418 Å)
Structure: a DFT-relaxed cell (PBE, Alexandria)
No peak broadening, texture or thermal motion is included.

Atomic structure:
```
data_LiSnPt6
_space_group_name_H-M_alt 'P 4/m m m'
_space_group_IT_number 123
_space_group_name_Hall '-P 4 2'
_cell_length_a 3.974
_cell_length_b 3.974
_cell_length_c 7.943
_cell_angle_alpha 90.00
_cell_angle_beta 90.00
_cell_angle_gamma 90.00
loop_
_atom_site_label
_atom_site_fract_x
_atom_site_fract_y
_atom_site_fract_z
Li1 0.000 0.000 0.000
Sn1 0.000 0.000 0.500
Pt1 0.000 0.500 0.238
Pt2 0.500 0.500 0.000
Pt3 0.500 0.500 0.500
```

Top 10 peaks for 10 to 90 degrees two-theta, low angle first:
- 2θ = 22.38°, d 3.973, intensity 13
- 2θ = 31.85°, d 2.809, intensity 11
- 2θ = 33.85°, d 2.648, intensity 5
- 2θ = 39.28°, d 2.294, intensity 100
- 2θ = 45.67°, d 1.986, intensity 49
- 2θ = 51.43°, d 1.777, intensity 6
- 2θ = 56.76°, d 1.622, intensity 4
- 2θ = 66.57°, d 1.405, intensity 32
- 2θ = 80.12°, d 1.198, intensity 38
- 2θ = 84.47°, d 1.147, intensity 11

---

(8)
Theoretical powder X-ray diffraction pattern
Compound: Ti4Si23
Radiation: Cu Kα (λ = 1.5418 Å)
Structure: a DFT-relaxed cell (PBE, Alexandria)
No peak broadening, texture or thermal motion is included.

Atomic structure:
```
data_Ti4Si23
_space_group_name_H-M_alt 'P m -3 n'
_space_group_IT_number 223
_space_group_name_Hall '-P 4n 2 3'
_cell_length_a 10.062
_cell_length_b 10.062
_cell_length_c 10.062
_cell_angle_alpha 90.00
_cell_angle_beta 90.00
_cell_angle_gamma 90.00
loop_
_atom_site_label
_atom_site_fract_x
_atom_site_fract_y
_atom_site_fract_z
Ti1 0.000 0.000 0.000
Ti2 0.000 0.250 0.500
Si1 0.000 0.310 0.116
Si2 0.000 0.500 0.250
Si3 0.183 0.183 0.183
```

Top 10 peaks for 10 to 90 degrees two-theta, low angle first:
- 2θ = 30.78°, d 2.905, intensity 30
- 2θ = 32.07°, d 2.791, intensity 37
- 2θ = 33.32°, d 2.689, intensity 100
- 2θ = 35.69°, d 2.515, intensity 13
- 2θ = 36.83°, d 2.440, intensity 14
- 2θ = 37.94°, d 2.372, intensity 8
- 2θ = 53.07°, d 1.726, intensity 34
- 2θ = 53.91°, d 1.701, intensity 12
- 2θ = 54.74°, d 1.677, intensity 19
- 2θ = 56.37°, d 1.632, intensity 40